# SrCr2As2
Computed powder diffractogram, CuKα. Input: a cell relaxed with PBE.

Cell and atoms:
abc: 6.7830 6.7830 6.7830
angles: 144.78 144.78 50.66
Element x y z (fractional)
Sr1 0.0000 0.0000 0.0000
Cr1 0.2500 0.7500 0.5000
Cr2 0.7500 0.2500 0.5000
As1 0.3584 0.3584 0.0000
As2 0.6416 0.6416 0.0000

Main lines, by angle (10° ≤ 2θ ≤ 90°):
2θ/deg  I/Imax
30.9  1000
34.2  342
42.9  278
44.1  372
54.8  327
55.0  250


# Cs2As3
Computed powder diffractogram, CuKα. Input: a cell relaxed with PBE.

Cell and atoms:
abc: 9.6303 9.4203 7.2602
angles: 69.14 66.07 44.79
Element x y z (fractional)
Cs1 0.2316 0.7684 0.2316
Cs2 0.2500 0.2500 0.2500
Cs3 0.7500 0.7500 0.7500
Cs4 0.7684 0.2316 0.7684
As1 0.2125 0.6367 0.7875
As2 0.3483 0.3483 0.6517
As3 0.3633 0.7875 0.6367
As4 0.6367 0.2125 0.3633
As5 0.6517 0.6517 0.3483
As6 0.7875 0.3633 0.2125

Main lines, by angle (10° ≤ 2θ ≤ 90°):
2θ/deg  I/Imax
27.0  1000
27.8  474
33.7  244
38.3  311
46.4  203
51.9  241


# CsAsF6
Computed powder diffractogram, CuKα. Input: a cell relaxed with PBE.

Cell and atoms:
abc: 5.3331 5.3331 5.3331
angles: 96.40 96.40 96.40
Element x y z (fractional)
Cs1 0.0000 0.0000 0.0000
As1 0.5000 0.5000 0.5000
F1 0.2352 0.3049 0.5789
F2 0.3049 0.5789 0.2352
F3 0.4211 0.7648 0.6951
F4 0.5789 0.2352 0.3049
F5 0.6951 0.4211 0.7648
F6 0.7648 0.6951 0.4211

Main lines, by angle (10° ≤ 2θ ≤ 90°):
2θ/deg  I/Imax
22.4  1000
25.4  719
34.1  183
36.2  167
41.2  539
57.5  199


# Cs2InAsF6
Computed powder diffractogram, CuKα. Input: a cell relaxed with PBE.

Cell and atoms:
abc: 6.7218 6.7218 6.7218
angles: 60.00 60.00 60.00
Element x y z (fractional)
Cs1 0.2500 0.2500 0.2500
Cs2 0.7500 0.7500 0.7500
In1 0.0000 0.0000 0.0000
As1 0.5000 0.5000 0.5000
F1 0.2807 0.2807 0.7193
F2 0.2807 0.7193 0.2807
F3 0.2807 0.7193 0.7193
F4 0.7193 0.2807 0.2807
F5 0.7193 0.2807 0.7193
F6 0.7193 0.7193 0.2807

Main lines, by angle (10° ≤ 2θ ≤ 90°):
2θ/deg  I/Imax
26.5  1000
37.9  345
46.8  403
54.6  216
61.7  202
74.7  224


# Cs2KAsF6
Computed powder diffractogram, CuKα. Input: a cell relaxed with PBE.

Cell and atoms:
abc: 6.6547 6.6547 6.6547
angles: 60.00 60.00 60.00
Element x y z (fractional)
Cs1 0.2500 0.2500 0.2500
Cs2 0.7500 0.7500 0.7500
K1 0.0000 0.0000 0.0000
As1 0.5000 0.5000 0.5000
F1 0.2785 0.2785 0.7215
F2 0.2785 0.7215 0.2785
F3 0.2785 0.7215 0.7215
F4 0.7215 0.2785 0.2785
F5 0.7215 0.2785 0.7215
F6 0.7215 0.7215 0.2785

Main lines, by angle (10° ≤ 2θ ≤ 90°):
2θ/deg  I/Imax
26.8  1000
33.0  212
38.3  383
47.3  394
55.2  236
75.6  221


# Cs2As2OF10
Computed powder diffractogram, CuKα. Input: a cell relaxed with PBE.

Cell and atoms:
abc: 5.7052 10.9270 9.3913
angles: 90.00 105.29 90.00
Element x y z (fractional)
Cs1 0.1759 0.0157 0.2527
Cs2 0.1759 0.4843 0.2527
Cs3 0.8241 0.5157 0.7473
Cs4 0.8241 0.9843 0.7473
As1 0.2749 0.2500 0.6136
As2 0.4944 0.2500 0.9774
As3 0.5056 0.7500 0.0226
As4 0.7251 0.7500 0.3864
O1 0.4927 0.7500 0.2136
O2 0.5073 0.2500 0.7864
F1 0.0213 0.2500 0.6897
F2 0.0647 0.2500 0.4337
F3 0.2672 0.0849 0.6064
F4 0.2672 0.4151 0.6064
F5 0.2683 0.1332 0.9514
F6 0.2683 0.3668 0.9514
F7 0.2729 0.6357 0.9834
F8 0.2729 0.8643 0.9834
F9 0.4881 0.7500 0.4768
F10 0.4989 0.7500 0.8309
F11 0.5011 0.2500 0.1691
F12 0.5119 0.2500 0.5232
F13 0.7271 0.1357 0.0166
F14 0.7271 0.3643 0.0166
F15 0.7317 0.6332 0.0486
F16 0.7317 0.8668 0.0486
F17 0.7328 0.5849 0.3936
F18 0.7328 0.9151 0.3936
F19 0.9353 0.7500 0.5663
F20 0.9787 0.7500 0.3103

Main lines, by angle (10° ≤ 2θ ≤ 90°):
2θ/deg  I/Imax
18.0  255
21.0  284
22.9  410
23.2  1000
25.5  713
29.8  323